Entry 1:
The following is a computed powder XRD pattern of Li5V4O8. It was derived from a PBE+U-relaxed structure, using λ = 1.5418 Å (Cu Kα).
No peak broadening, texture or thermal motion is included.

Top 10 peaks for 2θ = 10–90°, sorted by position:
hkl  2θ (°)  d [Å]  I/Imax
1 0 1  17.9  4.957  71.5
0 0 3  18.0  4.920  28.9
1 1 3  34.7  2.587  43.3
0 1 5  34.8  2.575  11.4
2 0 2  36.2  2.479  10.6
0 2 4  42.2  2.142  100.0
2 2 0  61.0  1.519  29.1
2 0 8  61.4  1.511  27.8
2 2 3  64.1  1.452  8.5
4 0 4  76.9  1.239  11.8

Atomic structure:
Cell lengths 6.0769, 6.0769, 14.7592 Å; angles 90.00, 90.00, 120.00 degrees
Space group R3m (No. 160, hexagonal axes)
One atom of each set of equivalent atoms:
Li 0.0000 0.0000 0.0000
Li 0.0000 0.0000 0.1428
Li 0.1952 0.3904 0.9484
V 0.0000 0.0000 0.6250
V 0.0003 0.5001 0.1236
O 0.0000 0.0000 0.3759
O 0.0000 0.0000 0.8721
O 0.0108 0.5054 0.3809
O 0.1735 0.3469 0.2014


Entry 2:
The following is a computed powder XRD pattern of Li4V7O12. It was derived from a PBE+U-relaxed structure, using λ = 1.5418 Å (Cu Kα).
No peak broadening, texture or thermal motion is included.

Top 10 peaks for 2θ = 10–90°, sorted by position:
hkl  2θ (°)  d [Å]  I/Imax
0 0 2  18.2  4.868  38.9
0 2 0  19.9  4.459  25.0
1 1 -1  20.6  4.303  18.2
1 1 1  23.2  3.827  31.1
0 0 4  36.9  2.435  23.1
2 0 2  42.7  2.118  51.3
1 3 -3  42.9  2.110  100.0
3 3 -1  61.9  1.500  27.0
1 3 5  62.3  1.490  26.7
0 0 8  78.6  1.217  17.3

Atomic structure:
Cell lengths 5.210, 8.927, 9.894 Å; angles 90.00, 100.25, 90.00 degrees
Space group P2_1 (No. 4)
One atom of each set of equivalent atoms:
Li 0.004 0.000 0.244
Li 0.255 0.005 0.997
Li 0.492 0.010 0.758
Li 0.492 0.169 0.239
V 0.008 0.848 0.757
V 0.238 0.172 0.502
V 0.241 0.665 0.003
V 0.249 0.331 0.993
V 0.251 0.521 0.497
V 0.251 0.833 0.497
V 0.485 0.841 0.246
O 0.117 0.181 0.118
O 0.128 0.678 0.629
O 0.130 0.003 0.616
O 0.133 0.488 0.116
O 0.142 0.834 0.123
O 0.148 0.346 0.614
O 0.350 0.338 0.379
O 0.361 0.828 0.877
O 0.367 0.494 0.875
O 0.369 0.009 0.380
O 0.398 0.676 0.375
O 0.403 0.177 0.884


Entry 3:
The following is a computed powder XRD pattern of Li5V4O8. It was derived from a PBE+U-relaxed structure, using λ = 1.5418 Å (Cu Kα).
No peak broadening, texture or thermal motion is included.

Top 10 peaks for 2θ = 10–90°, sorted by position:
hkl  2θ (°)  d [Å]  I/Imax
1 1 1  18.1  4.890  99.1
3 1 1  35.1  2.554  54.6
2 2 2  36.8  2.445  14.0
4 0 0  42.7  2.117  100.0
3 3 1  46.8  1.943  16.1
5 1 1  56.5  1.630  18.4
4 4 0  62.0  1.497  56.9
5 3 1  65.2  1.432  15.6
4 4 4  78.2  1.222  15.6
5 5 3  88.7  1.103  9.0

Atomic structure:
Cell lengths 8.469, 8.469, 8.469 Å; angles 90.00, 90.00, 90.00 degrees
Space group F-43m (No. 216)
One atom of each set of equivalent atoms:
Li 0.000 0.000 0.000
Li 0.146 0.146 0.854
V 0.125 0.125 0.375
O 0.120 0.120 0.620
O 0.129 0.129 0.129


Entry 4:
The following is a computed powder XRD pattern of LiV3O6. It was derived from a PBE+U-relaxed structure, using λ = 1.5418 Å (Cu Kα).
No peak broadening, texture or thermal motion is included.

Top 10 peaks for 2θ = 10–90°, sorted by position:
hkl  2θ (°)  d [Å]  I/Imax
0 0 1  17.9  4.943  100.0
2 0 -1  34.8  2.576  10.4
1 3 0  35.7  2.515  20.3
2 0 -2  42.1  2.146  19.5
1 3 1  43.1  2.098  36.3
1 3 -2  46.8  1.940  5.0
2 0 -3  55.6  1.654  5.3
1 3 2  56.6  1.626  9.6
2 0 2  61.7  1.504  13.4
3 3 -1  62.0  1.496  10.6

Atomic structure:
Cell lengths 5.222, 8.784, 5.259 Å; angles 90.00, 109.95, 90.00 degrees
Space group C2/m (No. 12)
One atom of each set of equivalent atoms:
Li 0.000 0.000 0.000
V 0.000 0.161 0.500
V 0.000 0.500 0.500
O 0.237 0.340 0.701
O 0.238 0.000 0.717


Entry 5:
The following is a computed powder XRD pattern of Li2V12O29. It was derived from a PBE+U-relaxed structure, using λ = 1.5418 Å (Cu Kα).
No peak broadening, texture or thermal motion is included.

Top 10 peaks for 2θ = 10–90°, sorted by position:
hkl  2θ (°)  d [Å]  I/Imax
4 0 0  12.8  6.932  100.0
1 1 -1  25.7  3.461  100.0
8 0 1  28.9  3.093  50.7
6 0 -3  29.3  3.043  33.4
5 1 -2  32.4  2.766  32.7
1 1 -3  35.7  2.516  17.2
12 0 1  41.8  2.160  28.0
6 0 -5  44.9  2.018  19.6
0 2 0  49.6  1.838  35.7
7 1 -6  60.4  1.533  19.4

Atomic structure:
Cell lengths 28.324, 3.677, 10.376 Å; angles 90.00, 101.78, 90.00 degrees
Space group C2/m (No. 12)
One atom of each set of equivalent atoms:
Li 0.249 0.000 0.098
V 0.062 0.000 0.590
V 0.085 0.500 0.362
V 0.108 0.500 0.041
V 0.148 0.000 0.857
V 0.177 0.000 0.533
V 0.196 0.500 0.298
O 0.000 0.000 0.500
O 0.031 0.500 0.277
O 0.050 0.500 0.010
O 0.059 0.000 0.745
O 0.072 0.500 0.547
O 0.099 0.000 0.411
O 0.122 0.500 0.229
O 0.124 0.000 0.024
O 0.130 0.500 0.873
O 0.141 0.000 0.662
O 0.168 0.500 0.486
O 0.194 0.000 0.356
O 0.204 0.500 0.143
O 0.209 0.000 0.909
O 0.233 0.000 0.626


Question: What is the formula in the third record?
Answer: Li5V4O8